Computed XRD peak list
Compound: La2Nd3Dy4
Radiation: Cu Ka
Structure: DFT lattice parameters and positions (PBE)

Most intense lines, 10° ≤ 2θ ≤ 80°, low angle first:
hkl 1 1 1, 2θ 30.8, I 78
hkl 3 0 0, 2θ 31.2, I 100
hkl 2 0 1, 2θ 32.6, I 22
hkl 2 1 1, 2θ 37.4, I 17
hkl 2 2 1, 2θ 44.4, I 24
hkl 2 3 1, 2θ 53.0, I 17
hkl 4 1 1, 2θ 55.3, I 22
hkl 3 0 2, 2θ 61.1, I 29

Cell and atoms:
abc: 9.925 9.925 3.575
angles: 90.00 90.00 120.00
Atoms (fractional coordinates):
La 0.000 0.000 0.000
La 0.333 0.667 0.500
Nd 0.363 0.010 0.000
Nd 0.647 0.637 0.000
Nd 0.990 0.353 0.000
Dy 0.311 0.307 0.500
Dy 0.667 0.333 0.500
Dy 0.693 0.004 0.500
Dy 0.996 0.689 0.500